1.
Structure and computed powder X-ray diffraction pattern of Rb2AcAgBr6 (a cell relaxed with PBE; Cu Kα (weighted mean of Kα1 and Kα2)).
Peak positions follow from Bragg's law for the DFT cell and can differ from measured ones.

Crystal structure
a b c (Å): 8.036 8.421 13.791
angles (deg): 90.00 124.89 90.00
Atoms (fractional coordinates):
Rb: 0.225 0.071 0.248
Rb: 0.225 0.429 0.748
Rb: 0.775 0.571 0.252
Rb: 0.775 0.929 0.752
Ac: 0.500 0.000 0.000
Ac: 0.500 0.500 0.500
Ag: 0.000 0.000 0.500
Ag: 0.000 0.500 0.000
Br: 0.146 0.202 0.950
Br: 0.146 0.298 0.450
Br: 0.252 0.701 0.952
Br: 0.252 0.799 0.452
Br: 0.337 0.025 0.740
Br: 0.337 0.475 0.240
Br: 0.663 0.525 0.760
Br: 0.663 0.975 0.260
Br: 0.748 0.201 0.548
Br: 0.748 0.299 0.048
Br: 0.854 0.702 0.550
Br: 0.854 0.798 0.050

Peak list (6 most intense, 2θ = 10–80°, low angle first)
2θ/deg  Rel. int.
15.24  83
21.82  47
22.05  73
30.76  100
31.64  61
38.89  39

2.
Structure and computed powder X-ray diffraction pattern of La4Y2Sb3N2 (a cell relaxed with PBE; Cu Kα (weighted mean of Kα1 and Kα2)).
Peak positions follow from Bragg's law for the DFT cell and can differ from measured ones.

Crystal structure
a b c (Å): 13.491 13.491 13.491
angles (deg): 159.34 159.34 29.38
Atoms (fractional coordinates):
La: 0.085 0.585 0.500
La: 0.415 0.915 0.500
La: 0.585 0.085 0.500
La: 0.915 0.415 0.500
Y: 0.195 0.195 0.000
Y: 0.805 0.805 0.000
Sb: 0.317 0.317 0.000
Sb: 0.500 0.500 0.000
Sb: 0.683 0.683 0.000
N: 0.111 0.111 0.000
N: 0.889 0.889 0.000

Peak list (6 most intense, 2θ = 10–80°, low angle first)
2θ/deg  Rel. int.
26.95  38
29.48  25
33.32  100
37.17  53
51.51  19
64.58  29

3.
Structure and computed powder X-ray diffraction pattern of Sm5Tm12Sc (a cell relaxed with PBE; Cu Kα (weighted mean of Kα1 and Kα2)).
Peak positions follow from Bragg's law for the DFT cell and can differ from measured ones.

Crystal structure
a b c (Å): 10.533 10.533 6.083
angles (deg): 106.58 106.58 60.02
Atoms (fractional coordinates):
Sm: 0.000 0.000 0.000
Sm: 0.167 0.167 0.501
Sm: 0.335 0.335 0.005
Sm: 0.665 0.665 0.995
Sm: 0.833 0.833 0.499
Tm: 0.001 0.665 0.998
Tm: 0.170 0.501 0.502
Tm: 0.171 0.829 0.500
Tm: 0.335 0.665 0.000
Tm: 0.335 0.999 0.002
Tm: 0.499 0.830 0.498
Tm: 0.501 0.170 0.502
Tm: 0.665 0.001 0.998
Tm: 0.665 0.335 0.000
Tm: 0.829 0.171 0.500
Tm: 0.830 0.499 0.498
Tm: 0.999 0.335 0.002
Sc: 0.500 0.500 0.500

Peak list (6 most intense, 2θ = 10–80°, low angle first)
2θ/deg  Rel. int.
31.18  100
36.12  34
36.23  17
52.09  30
61.88  21
61.99  14

4.
Structure and computed powder X-ray diffraction pattern of Pm2AlTe5 (a cell relaxed with PBE; Cu Kα (weighted mean of Kα1 and Kα2)).
Peak positions follow from Bragg's law for the DFT cell and can differ from measured ones.

Crystal structure
a b c (Å): 8.077 8.077 13.428
angles (deg): 90.00 90.00 135.00
Atoms (fractional coordinates):
Pm: 0.167 0.833 0.572
Pm: 0.167 0.833 0.928
Pm: 0.833 0.167 0.072
Pm: 0.833 0.167 0.428
Al: 0.184 0.816 0.250
Al: 0.816 0.184 0.750
Te: 0.037 0.963 0.115
Te: 0.037 0.963 0.385
Te: 0.302 0.698 0.750
Te: 0.310 0.690 0.100
Te: 0.310 0.690 0.400
Te: 0.690 0.310 0.600
Te: 0.690 0.310 0.900
Te: 0.698 0.302 0.250
Te: 0.963 0.037 0.615
Te: 0.963 0.037 0.885

Peak list (6 most intense, 2θ = 10–80°, low angle first)
2θ/deg  Rel. int.
11.86  40
15.51  62
23.17  57
28.88  85
31.21  100
43.04  82

5.
Structure and computed powder X-ray diffraction pattern of Rb2TlInBr5 (a cell relaxed with PBE; Cu Kα (weighted mean of Kα1 and Kα2)).
Peak positions follow from Bragg's law for the DFT cell and can differ from measured ones.

Crystal structure
a b c (Å): 5.681 5.681 12.079
angles (deg): 90.00 90.00 90.00
Atoms (fractional coordinates):
Rb: 0.000 0.000 0.219
Rb: 0.000 0.000 0.781
Tl: 0.500 0.500 0.000
In: 0.500 0.500 0.500
Br: 0.000 0.000 0.500
Br: 0.000 0.500 0.000
Br: 0.500 0.000 0.000
Br: 0.500 0.500 0.251
Br: 0.500 0.500 0.749

Peak list (6 most intense, 2θ = 10–80°, low angle first)
2θ/deg  Rel. int.
22.13  85
29.58  45
31.49  100
37.25  39
43.75  61
45.14  31

6.
Structure and computed powder X-ray diffraction pattern of Cs5Ce2S6 (a cell relaxed with PBE; Cu Kα (weighted mean of Kα1 and Kα2)).
Peak positions follow from Bragg's law for the DFT cell and can differ from measured ones.

Crystal structure
a b c (Å): 8.678 8.678 18.296
angles (deg): 100.95 100.95 64.47
Atoms (fractional coordinates):
Cs: 0.168 0.832 0.750
Cs: 0.201 0.491 0.275
Cs: 0.219 0.747 0.996
Cs: 0.253 0.781 0.504
Cs: 0.491 0.201 0.775
Cs: 0.509 0.799 0.225
Cs: 0.747 0.219 0.496
Cs: 0.781 0.253 0.004
Cs: 0.799 0.509 0.725
Cs: 0.832 0.168 0.250
Ce: 0.185 0.362 0.569
Ce: 0.362 0.185 0.069
Ce: 0.638 0.815 0.931
Ce: 0.815 0.638 0.431
S: 0.088 0.333 0.419
S: 0.141 0.152 0.638
S: 0.152 0.141 0.138
S: 0.333 0.088 0.919
S: 0.442 0.443 0.123
S: 0.443 0.442 0.623
S: 0.557 0.558 0.377
S: 0.558 0.557 0.877
S: 0.667 0.912 0.081
S: 0.848 0.859 0.862
S: 0.859 0.848 0.362
S: 0.912 0.667 0.581

Peak list (6 most intense, 2θ = 10–80°, low angle first)
2θ/deg  Rel. int.
11.85  64
22.51  100
23.21  97
24.37  85
25.82  67
27.79  66